1.
Diffraction record for Ca2InAu5. The X-ray diffraction stick pattern is calculated, not measured: it uses a cell relaxed with GGA-PBE and Cu Kα.
Neutral-atom scattering factors, no anomalous dispersion.

Top 6 peaks for 10 to 90 degrees two-theta, low angle first:
2θ = 32.12°, I = 65; 2θ = 32.84°, I = 94; 2θ = 39.09°, I = 100; 2θ = 39.55°, I = 60; 2θ = 40.04°, I = 63; 2θ = 41.34°, I = 59

Atomic structure:
```
8
Lattice="3.6913 -4.5037 0.0000 3.6913 4.5037 0.0000 -2.1481 0.0000 5.3637" Properties=species:S:1:pos:R:3 pbc="T T T"
Ca 3.6913 2.5606 0.0000
Ca 3.6913 -2.5606 0.0000
In 0.0130 0.0000 3.1716
Au 1.8646 2.2115 2.4943
Au 2.1997 0.0000 0.7086
Au 1.8646 -2.2115 2.4943
Au 3.5806 0.0000 3.4577
Au 5.1920 0.0000 0.8959
```

2.
Diffraction record for Tl3Pb2Cl7. The X-ray diffraction stick pattern is calculated, not measured: it uses a cell relaxed with GGA-PBE and Cu Kα.
Neutral-atom scattering factors, no anomalous dispersion.

Top 6 peaks for 10 to 90 degrees two-theta, low angle first:
2θ = 21.95°, I = 21; 2θ = 22.92°, I = 100; 2θ = 23.42°, I = 26; 2θ = 32.31°, I = 21; 2θ = 32.98°, I = 25; 2θ = 40.86°, I = 44

Atomic structure:
```
24
Lattice="13.5854 -3.7978 0.0000 13.5854 3.7978 0.0000 0.0000 0.0000 8.1000" Properties=species:S:1:pos:R:3 pbc="T T T"
Tl 8.3869 1.9463 2.8461
Tl 13.5854 2.0642 4.0500
Tl 18.7838 1.9463 2.8461
Tl 8.3869 -1.9463 6.8961
Tl 13.5854 -2.0642 0.0000
Tl 18.7838 -1.9463 6.8961
Pb 10.8272 1.8785 7.5323
Pb 16.3436 1.8785 7.5323
Pb 10.8272 -1.8785 3.4823
Pb 16.3436 -1.8785 3.4823
Cl 2.1233 0.4648 5.9690
Cl 5.4813 1.1039 3.7911
Cl 2.1233 -0.4648 1.9190
Cl 10.1678 0.4537 5.1071
Cl 5.4813 -1.1039 7.8411
Cl 13.5854 0.9296 7.1303
Cl 10.1678 -0.4537 1.0571
Cl 17.0029 0.4537 5.1071
Cl 13.5854 -0.9296 3.0803
Cl 21.6895 1.1039 3.7911
Cl 17.0029 -0.4537 1.0571
Cl 25.0474 0.4648 5.9690
Cl 21.6895 -1.1039 7.8411
Cl 25.0474 -0.4648 1.9190
```

3.
Diffraction record for RbS6Br2. The X-ray diffraction stick pattern is calculated, not measured: it uses a cell relaxed with GGA-PBE and Cu Kα.
Neutral-atom scattering factors, no anomalous dispersion.

Top 6 peaks for 10 to 90 degrees two-theta, low angle first:
2θ = 21.28°, I = 23; 2θ = 23.90°, I = 100; 2θ = 25.68°, I = 82; 2θ = 31.03°, I = 51; 2θ = 31.79°, I = 24; 2θ = 36.98°, I = 25

Atomic structure:
```
9
Lattice="5.2946 -2.4962 0.0000 5.2946 2.4962 0.0000 -0.2432 0.0000 10.7171" Properties=species:S:1:pos:R:3 pbc="T T T"
Rb 0.0000 0.0000 0.0000
S 3.8342 1.0123 6.1752
S 2.7685 0.0000 7.7259
S 6.5118 1.0123 4.5419
S 3.8342 -1.0123 6.1752
S 7.5776 0.0000 2.9912
S 6.5118 -1.0123 4.5419
Br 3.2501 0.0000 1.6357
Br 7.0960 0.0000 9.0813
```

4.
Diffraction record for ErCdSnHg. The X-ray diffraction stick pattern is calculated, not measured: it uses a cell relaxed with GGA-PBE and Cu Kα.
Neutral-atom scattering factors, no anomalous dispersion.

Top 6 peaks for 10 to 90 degrees two-theta, low angle first:
2θ = 33.99°, I = 100; 2θ = 37.04°, I = 20; 2θ = 39.60°, I = 17; 2θ = 41.58°, I = 14; 2θ = 64.81°, I = 16; 2θ = 68.28°, I = 13

Atomic structure:
```
4
Lattice="4.3435 0.0000 0.0000 0.0000 4.5514 0.0000 0.0000 0.0000 4.8539" Properties=species:S:1:pos:R:3 pbc="T T T"
Er 0.0000 0.0000 0.0000
Cd 0.0000 2.2757 2.4270
Sn 2.1718 2.2757 0.0000
Hg 2.1718 0.0000 2.4270
```

5.
Diffraction record for Sr2ZnGe2S6O. The X-ray diffraction stick pattern is calculated, not measured: it uses a cell relaxed with GGA-PBE and Cu Kα.
Neutral-atom scattering factors, no anomalous dispersion.

Top 6 peaks for 10 to 90 degrees two-theta, low angle first:
2θ = 23.48°, I = 25; 2θ = 25.30°, I = 100; 2θ = 29.65°, I = 29; 2θ = 35.63°, I = 15; 2θ = 41.65°, I = 37; 2θ = 53.86°, I = 15

Atomic structure:
```
24
Lattice="9.5274 0.0000 0.0000 0.0000 9.5274 0.0000 0.0000 0.0000 6.2485" Properties=species:S:1:pos:R:3 pbc="T T T"
Sr 1.5054 3.2583 3.1146
Sr 3.2583 8.0220 3.1340
Sr 6.2691 1.5054 3.1340
Sr 8.0220 6.2691 3.1146
Zn 0.0000 0.0000 0.0000
Zn 4.7637 4.7637 0.0000
Ge 1.2109 5.9746 0.4577
Ge 3.5528 1.2109 5.7908
Ge 5.9746 8.3165 5.7908
Ge 8.3165 3.5528 0.4577
S 0.6071 7.8493 1.5206
S 1.2805 6.0442 4.5392
S 1.6781 0.6071 4.7280
S 3.0856 5.3708 1.5206
S 3.4832 1.2805 1.7093
S 4.1566 3.0856 4.7280
S 5.3708 6.4418 4.7280
S 6.0442 8.2469 1.7093
S 6.4418 4.1566 1.5206
S 7.8493 8.9203 4.7280
S 8.2469 3.4832 4.5392
S 8.9203 1.6781 1.5206
O 0.0000 4.7637 1.2134
O 4.7637 0.0000 5.0351
```

6.
Diffraction record for Ag4Rh. The X-ray diffraction stick pattern is calculated, not measured: it uses a cell relaxed with GGA-PBE and Cu Kα.
Neutral-atom scattering factors, no anomalous dispersion.

Top 6 peaks for 10 to 90 degrees two-theta, low angle first:
2θ = 37.80°, I = 52; 2θ = 37.94°, I = 52; 2θ = 38.47°, I = 100; 2θ = 43.86°, I = 34; 2θ = 44.62°, I = 65; 2θ = 78.45°, I = 23

Atomic structure:
```
5
Lattice="4.8143 -1.4204 0.0000 4.8143 1.4204 0.0000 -3.4920 0.0000 6.2274" Properties=species:S:1:pos:R:3 pbc="T T T"
Ag -0.4433 0.0000 2.4411
Ag 2.1540 0.0000 1.2280
Ag 3.9826 0.0000 4.9994
Ag 6.5799 0.0000 3.7862
Rh 4.8143 0.0000 0.0000
```

7.
Diffraction record for TmMgScCo. The X-ray diffraction stick pattern is calculated, not measured: it uses a cell relaxed with GGA-PBE and Cu Kα.
Neutral-atom scattering factors, no anomalous dispersion.

Top 6 peaks for 10 to 90 degrees two-theta, low angle first:
2θ = 11.26°, I = 100; 2θ = 29.68°, I = 32; 2θ = 35.80°, I = 85; 2θ = 39.10°, I = 42; 2θ = 44.37°, I = 30; 2θ = 68.71°, I = 24

Atomic structure:
```
4
Lattice="3.2578 0.0000 0.0000 0.0000 3.2578 0.0000 0.0000 0.0000 7.8598" Properties=species:S:1:pos:R:3 pbc="T T T"
Tm 0.0000 0.0000 0.0000
Mg 1.6289 1.6289 2.4775
Sc 0.0000 0.0000 4.7410
Co 1.6289 1.6289 6.1767
```

8.
Diffraction record for K2Pa2Se5. The X-ray diffraction stick pattern is calculated, not measured: it uses a cell relaxed with GGA-PBE and Cu Kα.
Neutral-atom scattering factors, no anomalous dispersion.

Top 6 peaks for 10 to 90 degrees two-theta, low angle first:
2θ = 10.93°, I = 100; 2θ = 27.38°, I = 19; 2θ = 30.07°, I = 36; 2θ = 33.53°, I = 39; 2θ = 36.12°, I = 45; 2θ = 37.55°, I = 28

Atomic structure:
```
18
Lattice="8.0946 -3.9781 0.0000 8.0946 3.9781 0.0000 0.0000 0.0000 7.9620" Properties=species:S:1:pos:R:3 pbc="T T T"
K 3.3155 0.0000 0.0000
K 4.7791 0.0000 3.9810
K 11.4102 0.0000 3.9810
K 12.8737 0.0000 0.0000
Pa 8.0946 2.7244 5.2361
Pa 8.0946 1.2537 1.2551
Pa 8.0946 -1.2537 6.7069
Pa 8.0946 -2.7244 2.7259
Se 0.0000 0.0000 0.0000
Se 6.2541 2.8166 2.8204
Se 6.2541 1.1616 6.8015
Se 9.9351 2.8166 2.8204
Se 9.9351 1.1616 6.8015
Se 8.0946 0.0000 3.9810
Se 6.2541 -1.1616 1.1606
Se 6.2541 -2.8166 5.1416
Se 9.9351 -1.1616 1.1606
Se 9.9351 -2.8166 5.1416
```